Entry 1:
# Pm4HoHg2
Theoretical XRD peak list, Cu Kα, 1.54184 Å. Input: a cell relaxed with PBE.
Lines closer than 0.1° are merged.

Most intense lines, 10 to 90 degrees two-theta, by angle:
two_theta	Rel. int.
31.4	41
31.6	71
31.8	40
32.2	100
32.7	83
33.2	39

Cell lengths 6.696, 8.615, 8.686 Å; angles 114.87, 99.45, 104.08 degrees
Element x y z (fractional)
1 Pm 0.000 0.000 0.000
2 Pm 0.006 0.785 0.542
3 Pm 0.314 0.098 0.406
4 Pm 0.380 0.710 0.155
5 Pm 0.560 0.561 0.705
6 Pm 0.574 0.390 0.248
7 Pm 0.851 0.183 0.451
8 Pm 0.859 0.363 0.944
9 Ho 0.290 0.250 0.815
10 Ho 0.555 0.910 0.626
11 Hg 0.090 0.590 0.770
12 Hg 0.152 0.449 0.339
13 Hg 0.484 0.986 0.983
14 Hg 0.855 0.751 0.166

Entry 2:
# Pm2Ho2Hg7
Theoretical XRD peak list, Cu Kα, 1.54184 Å. Input: a cell relaxed with PBE.
Lines closer than 0.1° are merged.

Most intense lines, 10 to 90 degrees two-theta, by angle:
two_theta	Rel. int.
24.2	64
26.9	50
33.7	60
36.2	100
36.5	45
42.7	54

Cell lengths 6.799, 6.799, 7.487 Å; angles 90.00, 90.00, 103.08 degrees
Element x y z (fractional)
1 Pm 0.202 0.798 0.000
2 Pm 0.798 0.202 0.000
3 Ho 0.302 0.302 0.500
4 Ho 0.698 0.698 0.500
5 Hg 0.000 0.000 0.292
6 Hg 0.000 0.000 0.708
7 Hg 0.000 0.500 0.298
8 Hg 0.000 0.500 0.702
9 Hg 0.500 0.000 0.298
10 Hg 0.500 0.000 0.702
11 Hg 0.500 0.500 0.000

Entry 3:
# Pm3Ho4Hg8
Theoretical XRD peak list, Cu Kα, 1.54184 Å. Input: a cell relaxed with PBE.
Lines closer than 0.1° are merged.

Most intense lines, 10 to 90 degrees two-theta, by angle:
two_theta	Rel. int.
24.0	4
34.2	100
49.1	18
61.2	36
72.0	11
82.2	15

Cell lengths 7.419, 7.419, 7.419 Å; angles 90.00, 90.00, 90.00 degrees
Element x y z (fractional)
1 Pm 0.000 0.000 0.500
2 Pm 0.000 0.500 0.000
3 Pm 0.500 0.000 0.000
4 Ho 0.000 0.000 0.000
5 Ho 0.000 0.500 0.500
6 Ho 0.500 0.000 0.500
7 Ho 0.500 0.500 0.000
8 Hg 0.262 0.262 0.262
9 Hg 0.262 0.262 0.738
10 Hg 0.262 0.738 0.262
11 Hg 0.262 0.738 0.738
12 Hg 0.738 0.262 0.262
13 Hg 0.738 0.262 0.738
14 Hg 0.738 0.738 0.262
15 Hg 0.738 0.738 0.738

Entry 4:
# Pm5HoHg6
Theoretical XRD peak list, Cu Kα, 1.54184 Å. Input: a cell relaxed with PBE.
Lines closer than 0.1° are merged.

Most intense lines, 10 to 90 degrees two-theta, by angle:
two_theta	Rel. int.
33.3	100
33.5	49
48.1	18
59.5	19
59.7	28
70.0	12

Cell lengths 5.348, 7.633, 8.466 Å; angles 90.00, 108.31, 90.00 degrees
Element x y z (fractional)
1 Pm 0.000 0.000 0.000
2 Pm 0.331 0.000 0.663
3 Pm 0.333 0.500 0.667
4 Pm 0.667 0.500 0.333
5 Pm 0.669 0.000 0.337
6 Ho 0.000 0.500 0.000
7 Hg 0.163 0.254 0.326
8 Hg 0.163 0.746 0.326
9 Hg 0.500 0.257 0.000
10 Hg 0.500 0.743 0.000
11 Hg 0.837 0.254 0.674
12 Hg 0.837 0.746 0.674

Entry 5:
# PrHoHg5
Theoretical XRD peak list, Cu Kα, 1.54184 Å. Input: a cell relaxed with PBE.
Lines closer than 0.1° are merged.

Most intense lines, 10 to 90 degrees two-theta, by angle:
two_theta	Rel. int.
33.1	100
34.9	87
38.2	68
41.9	26
57.9	41
64.6	29

Cell lengths 6.406, 8.629, 6.964 Å; angles 90.00, 90.00, 90.00 degrees
Element x y z (fractional)
1 Pr 0.000 0.000 0.000
2 Pr 0.500 0.500 0.000
3 Ho 0.000 0.500 0.500
4 Ho 0.500 0.000 0.500
5 Hg 0.000 0.000 0.500
6 Hg 0.250 0.250 0.246
7 Hg 0.250 0.250 0.754
8 Hg 0.250 0.750 0.246
9 Hg 0.250 0.750 0.754
10 Hg 0.500 0.500 0.500
11 Hg 0.750 0.250 0.246
12 Hg 0.750 0.250 0.754
13 Hg 0.750 0.750 0.246
14 Hg 0.750 0.750 0.754

Entry 6:
# Pr5Ho2Hg4
Theoretical XRD peak list, Cu Kα, 1.54184 Å. Input: a cell relaxed with PBE.
Lines closer than 0.1° are merged.

Most intense lines, 10 to 90 degrees two-theta, by angle:
two_theta	Rel. int.
25.7	58
30.9	53
31.3	100
31.4	61
34.9	53
35.9	63

Cell lengths 17.116, 17.116, 5.729 Å; angles 93.32, 93.32, 11.67 degrees
Element x y z (fractional)
1 Pr 0.000 0.000 0.000
2 Pr 0.300 0.300 0.940
3 Pr 0.364 0.364 0.484
4 Pr 0.636 0.636 0.516
5 Pr 0.700 0.700 0.060
6 Ho 0.410 0.410 0.998
7 Ho 0.590 0.590 0.002
8 Hg 0.216 0.216 0.579
9 Hg 0.456 0.456 0.507
10 Hg 0.544 0.544 0.493
11 Hg 0.784 0.784 0.421

Entry 7:
# Pr2HoHg
Theoretical XRD peak list, Cu Kα, 1.54184 Å. Input: a cell relaxed with PBE.
Lines closer than 0.1° are merged.

Most intense lines, 10 to 90 degrees two-theta, by angle:
two_theta	Rel. int.
31.3	100
34.1	43
40.3	10
49.0	16
53.8	17
59.2	33

Cell lengths 5.262, 5.262, 8.955 Å; angles 90.00, 90.00, 90.00 degrees
Element x y z (fractional)
1 Pr 0.250 0.250 0.221
2 Pr 0.250 0.750 0.500
3 Pr 0.750 0.250 0.500
4 Pr 0.750 0.750 0.779
5 Ho 0.250 0.250 0.786
6 Ho 0.750 0.750 0.214
7 Hg 0.250 0.750 0.000
8 Hg 0.750 0.250 0.000

Entry 8:
# Pr2Ho2Hg3
Theoretical XRD peak list, Cu Kα, 1.54184 Å. Input: a cell relaxed with PBE.
Lines closer than 0.1° are merged.

Most intense lines, 10 to 90 degrees two-theta, by angle:
two_theta	Rel. int.
10.2	22
33.9	100
34.3	100
49.0	36
61.1	37
61.4	19

Cell lengths 9.182, 9.182, 9.182 Å; angles 33.12, 33.12, 33.12 degrees
Element x y z (fractional)
1 Pr 0.127 0.127 0.127
2 Pr 0.873 0.873 0.873
3 Ho 0.377 0.377 0.377
4 Ho 0.623 0.623 0.623
5 Hg 0.000 0.000 0.000
6 Hg 0.254 0.254 0.254
7 Hg 0.746 0.746 0.746

Entry 9:
# PrSmHoHg
Theoretical XRD peak list, Cu Kα, 1.54184 Å. Input: a cell relaxed with PBE.
Lines closer than 0.1° are merged.

Most intense lines, 10 to 90 degrees two-theta, by angle:
two_theta	Rel. int.
31.5	100
34.3	44
40.5	9
49.3	16
54.2	16
59.7	33

Cell lengths 3.694, 3.694, 8.899 Å; angles 90.00, 90.00, 90.00 degrees
Element x y z (fractional)
1 Pr 0.000 0.000 0.000
2 Sm 0.500 0.500 0.712
3 Ho 0.500 0.500 0.281
4 Hg 0.000 0.000 0.484

Entry 10:
# Tb2PrHoHg4
Theoretical XRD peak list, Cu Kα, 1.54184 Å. Input: a cell relaxed with PBE.
Lines closer than 0.1° are merged.

Most intense lines, 10 to 90 degrees two-theta, by angle:
two_theta	Rel. int.
33.6	100
33.8	100
48.4	36
59.9	18
60.3	38
60.4	19

Cell lengths 9.269, 9.269, 9.269 Å; angles 33.27, 33.27, 33.27 degrees
Element x y z (fractional)
1 Tb 0.249 0.249 0.249
2 Tb 0.751 0.751 0.751
3 Pr 0.000 0.000 0.000
4 Ho 0.500 0.500 0.500
5 Hg 0.128 0.128 0.128
6 Hg 0.379 0.379 0.379
7 Hg 0.621 0.621 0.621
8 Hg 0.872 0.872 0.872

Entry 11:
# Ho3HgPt2
Theoretical XRD peak list, Cu Kα, 1.54184 Å. Input: a cell relaxed with PBE.
Lines closer than 0.1° are merged.

Most intense lines, 10 to 90 degrees two-theta, by angle:
two_theta	Rel. int.
35.4	21
35.9	100
51.2	14
63.9	15
64.4	13
76.1	9

Cell lengths 5.071, 15.050, 3.511 Å; angles 90.00, 90.00, 90.00 degrees
Element x y z (fractional)
1 Ho 0.000 0.000 0.000
2 Ho 0.000 0.324 0.000
3 Ho 0.000 0.676 0.000
4 Ho 0.500 0.176 0.000
5 Ho 0.500 0.500 0.000
6 Ho 0.500 0.824 0.000
7 Hg 0.000 0.500 0.500
8 Hg 0.500 0.000 0.500
9 Pt 0.000 0.160 0.500
10 Pt 0.000 0.840 0.500
11 Pt 0.500 0.340 0.500
12 Pt 0.500 0.660 0.500

Entry 12:
# Ho6Hg3Pt
Theoretical XRD peak list, Cu Kα, 1.54184 Å. Input: a cell relaxed with PBE.
Lines closer than 0.1° are merged.

Most intense lines, 10 to 90 degrees two-theta, by angle:
two_theta	Rel. int.
30.5	100
35.1	85
35.3	44
36.8	41
47.2	21
47.3	22

Cell lengths 8.864, 11.727, 5.088 Å; angles 90.00, 90.00, 90.00 degrees
Element x y z (fractional)
1 Ho 0.008 0.243 0.000
2 Ho 0.156 0.085 0.500
3 Ho 0.185 0.412 0.500
4 Ho 0.315 0.912 0.000
5 Ho 0.344 0.585 0.000
6 Ho 0.492 0.743 0.500
7 Ho 0.508 0.257 0.500
8 Ho 0.656 0.415 0.000
9 Ho 0.685 0.088 0.000
10 Ho 0.815 0.588 0.500
11 Ho 0.844 0.915 0.500
12 Ho 0.992 0.757 0.000
13 Hg 0.000 0.500 0.000
14 Hg 0.158 0.723 0.500
15 Hg 0.342 0.223 0.000
16 Hg 0.500 0.000 0.500
17 Hg 0.658 0.777 0.000
18 Hg 0.842 0.277 0.500
19 Pt 0.000 0.000 0.000
20 Pt 0.500 0.500 0.500